The following is a calculated X-ray diffraction stick pattern of Li3V2O4F4. It was derived from a cell relaxed with GGA+U, using Cu Kα (λ = 1.5418 Å).
Lines closer than 0.1° are merged.

The 12 most intense peaks (10 to 90 degrees two-theta), by angle:
two_theta  Rel. int.  (hkl)
13.32  19.8  0 0 1
14.78  50.5  1 0 0
15.70  84.7  1 0 -1
26.82  23.8  0 0 2
27.61  24.2  2 0 -1
28.37  100.0  0 1 1
29.10  17.1  1 1 0
35.52  27.1  1 0 2
40.73  20.2  0 0 3
43.05  32.5  3 0 -2
51.15  21.7  0 2 0
55.70  18.3  1 1 3

Structural model:
Unit cell a=6.4800 b=3.5719 c=7.1870 alpha=90.00 beta=112.35 gamma=90.00
Fractional coordinates of all 13 atoms:
1 Li 0.0000 0.0000 0.0000
2 Li 0.0742 0.0000 0.4012
3 Li 0.3186 0.5000 0.7808
4 V 0.5249 0.0000 0.1806
5 V 0.7818 0.5000 0.6015
6 O 0.3716 0.0000 0.9318
7 O 0.5716 0.5000 0.2575
8 O 0.7505 0.0000 0.5239
9 O 0.9512 0.5000 0.8465
10 F 0.0571 0.5000 0.5225
11 F 0.2588 0.0000 0.2495
12 F 0.5110 0.5000 0.6417
13 F 0.8159 0.0000 0.1543